# 1
This entry pairs a crystal structure of LaReHg4 with its theoretical powder diffraction line list. Radiation: CuKα. Structure: a cell relaxed with PBE.
Kinematic intensities with the Lorentz-polarization factor, no thermal factor.

Most intense lines, 2θ = 5–70°, sorted by position:
| two_theta | intensity |
| --- | --- |
| 18.8 | 13 |
| 31.0 | 20 |
| 36.5 | 100 |
| 38.2 | 48 |
| 44.4 | 9 |
| 48.6 | 4 |
| 55.1 | 8 |
| 58.7 | 34 |
| 64.5 | 31 |
| 67.9 | 3 |

Atomic structure:
a b c (Å): 8.1671 8.1671 8.1671
angles (deg): 90.00 90.00 90.00
Space group F-43m (No. 216)
Inequivalent atoms, fractional coordinates:
La1 0.0000 0.0000 0.0000
Re1 0.2500 0.2500 0.7500
Hg1 0.1242 0.1242 0.3758

# 2
This entry pairs a crystal structure of La5HgRh with its theoretical powder diffraction line list. Radiation: CuKα. Structure: a cell relaxed with PBE.
Kinematic intensities with the Lorentz-polarization factor, no thermal factor.

Most intense lines, 2θ = 5–70°, sorted by position:
| two_theta | intensity |
| --- | --- |
| 27.1 | 15 |
| 28.0 | 16 |
| 29.0 | 46 |
| 29.5 | 39 |
| 29.7 | 58 |
| 29.8 | 64 |
| 31.2 | 100 |
| 33.0 | 21 |
| 39.1 | 28 |
| 48.0 | 18 |

Atomic structure:
a b c (Å): 10.1073 7.6258 12.0600
angles (deg): 90.00 106.41 90.00
Space group C2/c (No. 15)
Inequivalent atoms, fractional coordinates:
La1 0.0000 0.0245 0.2500
La2 0.1153 0.3269 0.5508
La3 0.2424 0.1942 0.1360
Hg1 0.0000 0.4412 0.2500
Rh1 0.0000 0.0000 0.0000

# 3
This entry pairs a crystal structure of La12Hg5Ru2 with its theoretical powder diffraction line list. Radiation: CuKα. Structure: a cell relaxed with PBE.
Kinematic intensities with the Lorentz-polarization factor, no thermal factor.

Most intense lines, 2θ = 5–70°, sorted by position:
| two_theta | intensity |
| --- | --- |
| 19.5 | 53 |
| 20.7 | 54 |
| 29.0 | 100 |
| 31.2 | 46 |
| 32.2 | 57 |
| 32.8 | 32 |
| 32.9 | 32 |
| 35.1 | 49 |
| 38.4 | 29 |
| 45.9 | 29 |

Atomic structure:
a b c (Å): 17.4654 7.9109 10.2382
angles (deg): 90.00 107.44 90.00
Space group C2/m (No. 12)
Inequivalent atoms, fractional coordinates:
La1 0.0005 0.0000 0.2293
La2 0.0046 0.5000 0.8174
La3 0.1506 0.2509 0.5727
La4 0.1620 0.2331 0.0863
Hg1 0.0000 0.5000 0.5000
Hg2 0.1914 0.0000 0.8366
Hg3 0.1980 0.0000 0.3629
Ru1 0.0000 0.2136 0.0000

# 4
This entry pairs a crystal structure of La6Hg2Ru with its theoretical powder diffraction line list. Radiation: CuKα. Structure: a cell relaxed with PBE.
Kinematic intensities with the Lorentz-polarization factor, no thermal factor.

Most intense lines, 2θ = 5–70°, sorted by position:
| two_theta | intensity |
| --- | --- |
| 30.0 | 100 |
| 30.4 | 42 |
| 31.0 | 37 |
| 32.0 | 29 |
| 32.4 | 57 |
| 34.1 | 21 |
| 35.0 | 24 |
| 38.1 | 22 |
| 45.8 | 22 |
| 60.1 | 18 |

Atomic structure:
a b c (Å): 3.9620 15.7847 8.8058
angles (deg): 90.00 90.00 90.00
Space group Amm2 (No. 38)
Inequivalent atoms, fractional coordinates:
La1 0.0000 0.0000 0.0000
La2 0.0000 0.1220 0.3388
La3 0.5000 0.0000 0.6373
La4 0.5000 0.1973 0.0158
Hg1 0.0000 0.1653 0.7169
Ru1 0.5000 0.0000 0.2751

# 5
This entry pairs a crystal structure of La6Hg3Ru2 with its theoretical powder diffraction line list. Radiation: CuKα. Structure: a cell relaxed with PBE.
Kinematic intensities with the Lorentz-polarization factor, no thermal factor.

Most intense lines, 2θ = 5–70°, sorted by position:
| two_theta | intensity |
| --- | --- |
| 7.6 | 18 |
| 23.5 | 26 |
| 24.8 | 19 |
| 28.2 | 20 |
| 31.8 | 51 |
| 33.1 | 93 |
| 33.5 | 100 |
| 46.8 | 35 |
| 48.1 | 36 |
| 59.7 | 35 |

Atomic structure:
a b c (Å): 5.3501 5.3501 23.1965
angles (deg): 90.00 90.00 90.00
Space group I4/mmm (No. 139)
Inequivalent atoms, fractional coordinates:
La1 0.0000 0.0000 0.1989
La2 0.0000 0.5000 0.0861
Hg1 0.0000 0.0000 0.3308
Hg2 0.0000 0.0000 0.5000
Ru1 0.0000 0.0000 0.0625

# 6
This entry pairs a crystal structure of La2Hg2Ru with its theoretical powder diffraction line list. Radiation: CuKα. Structure: a cell relaxed with PBE.
Kinematic intensities with the Lorentz-polarization factor, no thermal factor.

Most intense lines, 2θ = 5–70°, sorted by position:
| two_theta | intensity |
| --- | --- |
| 21.8 | 22 |
| 27.0 | 42 |
| 31.9 | 11 |
| 35.4 | 100 |
| 36.9 | 57 |
| 40.6 | 12 |
| 49.5 | 13 |
| 53.1 | 20 |
| 62.6 | 10 |
| 65.5 | 34 |

Atomic structure:
a b c (Å): 4.8757 4.8757 22.4658
angles (deg): 90.00 90.00 90.00
Space group I4_1/amd (No. 141, origin choice 2)
Inequivalent atoms, fractional coordinates:
La1 0.0000 0.2500 0.0633
Hg1 0.0000 0.2500 0.2062
Ru1 0.0000 0.2500 0.8750

# 7
This entry pairs a crystal structure of La5HgRu2 with its theoretical powder diffraction line list. Radiation: CuKα. Structure: a cell relaxed with PBE.
Kinematic intensities with the Lorentz-polarization factor, no thermal factor.

Most intense lines, 2θ = 5–70°, sorted by position:
| two_theta | intensity |
| --- | --- |
| 29.6 | 40 |
| 31.2 | 100 |
| 31.6 | 23 |
| 33.6 | 54 |
| 35.4 | 85 |
| 40.4 | 35 |
| 51.0 | 15 |
| 51.2 | 16 |
| 55.0 | 23 |
| 63.8 | 30 |

Atomic structure:
a b c (Å): 8.0150 8.0150 14.2839
angles (deg): 90.00 90.00 90.00
Space group I4/mcm (No. 140)
Inequivalent atoms, fractional coordinates:
La1 0.0000 0.0000 0.0000
La2 0.1634 0.3366 0.1299
Hg1 0.0000 0.0000 0.2500
Ru1 0.1410 0.3590 0.5000

# 8
This entry pairs a crystal structure of La4Hg3Ru with its theoretical powder diffraction line list. Radiation: CuKα. Structure: a cell relaxed with PBE.
Kinematic intensities with the Lorentz-polarization factor, no thermal factor.

Most intense lines, 2θ = 5–70°, sorted by position:
| two_theta | intensity |
| --- | --- |
| 16.4 | 3 |
| 23.3 | 2 |
| 28.6 | 2 |
| 33.2 | 100 |
| 37.2 | 1 |
| 44.4 | 1 |
| 47.6 | 18 |
| 53.7 | 1 |
| 59.3 | 38 |
| 69.6 | 12 |

Atomic structure:
a b c (Å): 7.6383 7.6383 7.6383
angles (deg): 90.00 90.00 90.00
Space group Im-3m (No. 229)
Inequivalent atoms, fractional coordinates:
La1 0.2500 0.2500 0.2500
Hg1 0.0000 0.0000 0.5000
Ru1 0.0000 0.0000 0.0000